This entry pairs a crystal structure of Dy2ScU2Ru5 with its calculated powder XRD pattern. Radiation: Cu Kα (λ = 1.5418 Å). Structure: the PBE geometry in Alexandria.

Largest 10 diffraction maxima, in order of rising 2θ, 15° ≤ 2θ ≤ 90°:
2θ = 18.8°, d 4.721, rel. 23, hkl 2 1 0; 2θ = 30.7°, d 2.910, rel. 18, hkl 2 0 1; 2θ = 35.0°, d 2.560, rel. 20, hkl 4 1 0; 2θ = 35.2°, d 2.548, rel. 15, hkl 2 2 1; 2θ = 36.1°, d 2.488, rel. 49, hkl 3 3 0; 2θ = 37.3°, d 2.412, rel. 100, hkl 3 1 1; 2θ = 40.2°, d 2.243, rel. 32, hkl 3 2 1; 2θ = 43.0°, d 2.105, rel. 42, hkl 4 0 1; 2θ = 52.5°, d 1.744, rel. 19, hkl 0 0 2; 2θ = 65.3°, d 1.428, rel. 18, hkl 3 3 2

Structural model:
a b c (Å): 10.5561 10.5561 3.4884
angles (deg): 90.00 90.00 90.00
Space group P4/mbm (No. 127)
Unique sites:
Dy 0.1719 0.3281 0.0000
Sc 0.0000 0.0000 0.0000
U 0.1400 0.6400 0.0000
Ru 0.0000 0.5000 0.5000
Ru 0.0524 0.7946 0.5000